Entry 1:
Simulated X-ray diffraction stick pattern of MnVNiMo for λ = 1.5418 Å (Cu Kα), from a GGA-PBE-relaxed structure.

Largest 10 diffraction maxima, sorted by position, 2θ from 10° to 90°:
- (1 1 1), 25.95°, I = 41
- (2 0 0), 30.06°, I = 60
- (2 2 0), 43.03°, I = 1000
- (3 1 1), 50.94°, I = 19
- (2 2 2), 53.38°, I = 17
- (4 0 0), 62.48°, I = 153
- (3 3 1), 68.82°, I = 8
- (4 2 0), 70.88°, I = 23
- (4 2 2), 78.86°, I = 302
- (5 1 1), 84.71°, I = 7

Lattice parameters (Å, degrees): 5.946 5.946 5.946 90.00 90.00 90.00
Space group F-43m (No. 216)
Symmetry-distinct sites (fractional):
Mn  0.000  0.000  0.000 (multiplicity 4)
V  0.000  0.000  0.500 (multiplicity 4)
Ni  0.250  0.250  0.250 (multiplicity 4)
Mo  0.250  0.250  0.750 (multiplicity 4)

=====

Entry 2:
Simulated X-ray diffraction stick pattern of Li2SnP5O15 for λ = 1.5418 Å (Cu Kα), from a GGA-PBE-relaxed structure.

Largest 10 diffraction maxima, sorted by position, 2θ from 10° to 90°:
- (0 0 1), 10.91°, I = 533
- (0 2 1), 16.13°, I = 656
- (1 2 0), 20.47°, I = 469
- (0 0 2), 21.91°, I = 1000
- (1 2 1), 24.50°, I = 809
- (1 3 1), 28.01°, I = 286
- (1 4 0), 29.20°, I = 372
- (1 4 -1), 30.25°, I = 256
- (0 6 1), 37.80°, I = 212
- (2 4 0), 41.63°, I = 262

Lattice parameters (Å, degrees): 5.403 14.938 8.222 90.00 99.35 90.00
Space group P2_1/m (No. 11)
Symmetry-distinct sites (fractional):
Li  0.136  0.156  0.152 (multiplicity 4)
Sn  0.500  0.000  0.500 (multiplicity 2)
P  0.015  0.149  0.515 (multiplicity 4)
P  0.330  0.098  0.841 (multiplicity 4)
P  0.404  0.750  0.978 (multiplicity 2)
O  0.024  0.250  0.452 (multiplicity 2)
O  0.133  0.750  0.901 (multiplicity 2)
O  0.160  0.157  0.697 (multiplicity 4)
O  0.163  0.095  0.405 (multiplicity 4)
O  0.185  0.079  0.975 (multiplicity 4)
O  0.254  0.622  0.486 (multiplicity 4)
O  0.395  0.250  0.129 (multiplicity 2)
O  0.433  0.019  0.755 (multiplicity 4)
O  0.440  0.666  0.105 (multiplicity 4)

=====

Entry 3:
Simulated X-ray diffraction stick pattern of Y2CuSi3Pt12 for λ = 1.5418 Å (Cu Kα), from a GGA-PBE-relaxed structure.

Largest 10 diffraction maxima, sorted by position, 2θ from 10° to 90°:
- (1 1 0), 21.56°, I = 143
- (1 0 4), 23.71°, I = 154
- (0 2 4), 32.26°, I = 1000
- (2 2 0), 43.94°, I = 547
- (2 0 8), 48.52°, I = 392
- (4 0 4), 55.55°, I = 204
- (0 4 8), 67.52°, I = 138
- (2 4 4), 73.40°, I = 168
- (2 2 12), 80.19°, I = 120
- (4 2 8), 84.12°, I = 144

Lattice parameters (Å, degrees): 8.2419 8.2419 17.6457 90.00 90.00 120.00
Space group R-3m (No. 166, hexagonal axes)
Symmetry-distinct sites (fractional):
Y  0.0000  0.0000  0.1140 (multiplicity 6)
Cu  0.0000  0.0000  0.5000 (multiplicity 3)
Si  0.0000  0.5000  0.0000 (multiplicity 9)
Pt  0.0030  0.5015  0.8693 (multiplicity 18)
Pt  0.0243  0.5121  0.3699 (multiplicity 18)